Calculated X-ray powder pattern
Compound: BaPmGa
Radiation: Cu Kα (weighted mean of Kα1 and Kα2)
Structure: a structure optimized by DFT (GGA-PBE)
Lines closer than 0.1° are merged.

Top 8 peaks for 10° ≤ 2θ ≤ 90°, in order of rising 2θ:
2θ (°)	d_spacing	intensity	hkl
27.20	3.279	100	0 1 1
35.25	2.546	50	1 1 0
36.65	2.452	15	0 0 2
45.08	2.011	25	2 0 1
51.76	1.766	33	1 1 2
58.48	1.578	23	1 2 1
60.40	1.533	11	0 1 3
75.39	1.261	11	3 0 2

Structural model:
a b c (Å): 5.0926 5.0926 4.9033
angles (deg): 90.00 90.00 120.00
Atoms (fractional coordinates):
Ba  0.0000  0.0000  0.0000
Pm  0.3333  0.6667  0.4997
Ga  0.6667  0.3333  0.5014